Record 1
K3SnBi3: theoretical powder XRD pattern (copper Kα), based on a structure optimized by DFT (GGA-PBE).

Structural model:
a = 12.8959 Å, b = 5.7507 Å, c = 15.9691 Å
α = 90.00°, β = 108.40°, γ = 90.00°
Space group C2/m (No. 12)
Inequivalent atoms, fractional coordinates:
K  0.0200  0.0000  0.3785 [4 per cell]
K  0.0964  0.0000  0.9195 [4 per cell]
K  0.2253  0.0000  0.2199 [4 per cell]
Sn  0.2335  0.5000  0.3979 [4 per cell]
Bi  0.0239  0.5000  0.2349 [4 per cell]
Bi  0.1094  0.5000  0.0740 [4 per cell]
Bi  0.1297  0.5000  0.5464 [4 per cell]

Principal peaks in the range 2θ from 5° to 70°, low angle first:
hkl, Position (°2θ), I (rel.)
2 0 -1, 13.79, 26
1 1 0, 17.04, 100
2 0 2, 21.35, 24
2 0 -4, 23.40, 32
1 1 -4, 27.19, 41
3 1 -4, 30.87, 41
0 2 0, 31.10, 48
3 1 2, 32.05, 78

Record 2
KSn4Bi: theoretical powder XRD pattern (copper Kα), based on a structure optimized by DFT (GGA-PBE).

Structural model:
a = 9.0375 Å, b = 9.0375 Å, c = 9.0375 Å
α = 90.00°, β = 90.00°, γ = 90.00°
Space group F-43m (No. 216)
Inequivalent atoms, fractional coordinates:
K  0.0000  0.0000  0.0000 [4 per cell]
Sn  0.1243  0.1243  0.3757 [16 per cell]
Bi  0.2500  0.2500  0.7500 [4 per cell]

Principal peaks in the range 2θ from 5° to 70°, low angle first:
hkl, Position (°2θ), I (rel.)
1 1 1, 16.99, 16
2 2 0, 27.92, 25
3 1 1, 32.87, 100
2 2 2, 34.37, 41
3 3 3, 52.62, 36
4 4 0, 57.70, 29
5 3 3, 68.02, 13
6 2 2, 68.92, 18

Record 3
KSn6Bi2: theoretical powder XRD pattern (copper Kα), based on a structure optimized by DFT (GGA-PBE).

Structural model:
a = 5.3797 Å, b = 5.3797 Å, c = 10.4904 Å
α = 90.00°, β = 90.00°, γ = 90.00°
Space group P4/mmm (No. 123)
Inequivalent atoms, fractional coordinates:
K  0.0000  0.0000  0.0000 [1 per cell]
Sn  0.0000  0.0000  0.5000 [1 per cell]
Sn  0.0000  0.5000  0.3208 [4 per cell]
Sn  0.5000  0.5000  0.5000 [1 per cell]
Bi  0.5000  0.5000  0.1531 [2 per cell]

Principal peaks in the range 2θ from 5° to 70°, low angle first:
hkl, Position (°2θ), I (rel.)
1 0 0, 16.48, 35
1 1 2, 29.00, 28
1 0 3, 30.49, 24
2 0 0, 33.31, 68
1 1 3, 34.85, 100
2 2 0, 47.82, 25
3 1 3, 60.52, 43
2 0 6, 63.46, 18